Starting from a DFT-relaxed cell (PBE, the Materials Project), the X-ray diffraction stick pattern of LiTiPO5 was calculated for Cu Kα (λ = 1.5418 Å).

Structure:
```
data_LiTiPO5
_chemical_formula_sum 'Li4 Ti4 P4 O20'
_symmetry_space_group_name_H-M 'P 1'
_symmetry_Int_Tables_number 1
_cell_length_a 6.985
_cell_length_b 7.274
_cell_length_c 7.975
_cell_angle_alpha 90.44
_cell_angle_beta 91.40
_cell_angle_gamma 117.13
loop_
_symmetry_equiv_pos_as_xyz
'x,y,z'
loop_
_atom_site_label
_atom_site_fract_x
_atom_site_fract_y
_atom_site_fract_z
_atom_site_occupancy
Li1 0.193 0.185 0.067 1
Li2 0.291 0.706 0.433 1
Li3 0.709 0.294 0.567 1
Li4 0.807 0.815 0.933 1
Ti1 0.252 0.979 0.736 1
Ti2 0.254 0.481 0.763 1
Ti3 0.746 0.519 0.237 1
Ti4 0.748 0.021 0.264 1
P1 0.234 0.759 0.093 1
P2 0.268 0.249 0.407 1
P3 0.732 0.751 0.593 1
P4 0.766 0.241 0.907 1
O1 0.054 0.093 0.319 1
O2 0.074 0.649 0.234 1
O3 0.152 0.886 0.979 1
O4 0.233 0.743 0.667 1
O5 0.240 0.416 0.511 1
O6 0.265 0.259 0.830 1
O7 0.268 0.599 0.986 1
O8 0.357 0.133 0.523 1
O9 0.420 0.348 0.260 1
O10 0.445 0.908 0.186 1
O11 0.555 0.092 0.814 1
O12 0.580 0.652 0.740 1
O13 0.643 0.867 0.477 1
O14 0.732 0.401 0.014 1
O15 0.735 0.741 0.170 1
O16 0.760 0.584 0.489 1
O17 0.767 0.257 0.333 1
O18 0.848 0.114 0.021 1
O19 0.926 0.351 0.766 1
O20 0.946 0.907 0.681 1
```

The 10 most intense peaks (10° ≤ 2θ ≤ 90°), low angle first:
(-1 1 1), 4.858 Å, 18.26 deg, I = 26; (1 0 1), 4.819 Å, 18.41 deg, I = 94; (0 0 2), 3.985 Å, 22.31 deg, I = 25; (0 1 -2), 3.426 Å, 26.01 deg, I = 30; (0 1 2), 3.362 Å, 26.51 deg, I = 26; (1 -2 1), 3.309 Å, 26.95 deg, I = 65; (-1 2 1), 3.295 Å, 27.06 deg, I = 96; (2 0 0), 3.107 Å, 28.73 deg, I = 100; (1 0 -3), 2.471 Å, 36.35 deg, I = 38; (3 0 1), 1.990 Å, 45.60 deg, I = 24